The following is a calculated X-ray diffraction stick pattern of Sr4Mn2Cu3S4O4. It was derived from a PBE+U-relaxed structure, using Cu Kα (weighted mean of Kα1 and Kα2).

Atomic structure:
```
17
Lattice="2.8611 -8.6241 0.0000 2.8611 8.6241 0.0000 0.0000 0.0000 5.7234" Properties=species:S:1:pos:R:3 pbc="T T T"
Sr 1.4195 2.5803 1.4189
Sr 1.4195 -2.5803 4.3044
Sr 4.3027 2.5803 4.3044
Sr 4.3027 -2.5803 1.4189
Mn 1.4305 4.3121 4.2839
Mn 1.4305 -4.3121 1.4395
Cu 0.0000 0.0000 2.8617
Cu 2.8611 0.0000 0.0000
Cu 2.8611 0.0000 2.8617
S 1.4529 1.3425 4.2711
S 1.4529 -1.3425 1.4523
S 4.2693 1.3425 1.4523
S 4.2693 -1.3425 4.2711
O 2.8611 4.3449 2.8617
O 2.8611 4.3125 0.0000
O 2.8611 -4.3125 0.0000
O 2.8611 -4.3449 2.8617
```

The 10 most intense peaks (2θ = 15–90°), low angle first:
2θ/deg  I/Imax
22.57  15
31.26  21
32.98  29
34.15  100
37.73  61
44.79  55
57.51  42
62.94  26
65.21  17
77.87  13